Calculated X-ray powder pattern of Li3Pu4Ge4 for Cu Kα (λ = 1.5418 Å), from DFT lattice parameters and positions (PBE).
Neutral-atom scattering factors, no anomalous dispersion.

Principal peaks in the range 2θ from 10° to 90°, sorted by position:
2θ (°), d/Å, Rel. int.
13.14, 6.739, 95.3
22.14, 4.016, 57.2
22.24, 3.997, 95.7
29.16, 3.062, 98.5
36.12, 2.487, 100.0
36.98, 2.431, 62.9
39.41, 2.287, 70.1
57.56, 1.601, 53.4

Crystal structure
Unit cell a=8.3575 b=8.3575 c=8.3575 alpha=150.99 beta=115.19 gamma=72.53
Fractional coordinates of all 11 atoms:
1 Li 0.0000 0.0000 0.0000
2 Li 0.4002 0.9002 0.5000
3 Li 0.5998 0.0998 0.5000
4 Pu 0.0064 0.6707 0.3357
5 Pu 0.3351 0.6707 0.6643
6 Pu 0.6649 0.3293 0.3357
7 Pu 0.9936 0.3293 0.6643
8 Ge 0.2842 0.2842 0.0000
9 Ge 0.3616 0.5000 0.8616
10 Ge 0.6384 0.5000 0.1384
11 Ge 0.7158 0.7158 0.0000